No. 1
This entry pairs a crystal structure of Pm6NdTl6 with its calculated X-ray powder pattern. Radiation: λ = 1.5418 Å (Cu Kα). Structure: a structure optimized by DFT (PBE).
Neutral-atom scattering factors, no anomalous dispersion.

Main lines, most intense first (2θ from 10° to 90°):
d = 2.506 Å, rel. 100.0; d = 2.798 Å, rel. 59.8; d = 2.820 Å, rel. 56.0; d = 1.628 Å, rel. 30.5; d = 2.732 Å, rel. 29.8; d = 1.399 Å, rel. 23.3; d = 1.590 Å, rel. 22.8; d = 2.459 Å, rel. 21.2; d = 1.366 Å, rel. 19.3; d = 5.464 Å, rel. 18.4

Structure:
Unit cell a=6.5136 b=6.5136 c=10.9285 alpha=90.00 beta=90.00 gamma=120.00
Positions (direct):
Pm  0.0000  0.0000  0.1652
Pm  0.0000  0.0000  0.8348
Pm  0.3333  0.6667  0.0000
Pm  0.3333  0.6667  0.5000
Pm  0.6667  0.3333  0.0000
Pm  0.6667  0.3333  0.5000
Nd  0.0000  0.0000  0.5000
Tl  0.0000  0.5000  0.2539
Tl  0.0000  0.5000  0.7461
Tl  0.5000  0.0000  0.2539
Tl  0.5000  0.0000  0.7461
Tl  0.5000  0.5000  0.2539
Tl  0.5000  0.5000  0.7461

***

No. 2
This entry pairs a crystal structure of Pm2Nd3Tl6 with its calculated X-ray powder pattern. Radiation: λ = 1.5418 Å (Cu Kα). Structure: a structure optimized by DFT (PBE).
Neutral-atom scattering factors, no anomalous dispersion.

Main lines, most intense first (2θ from 10° to 90°):
d = 3.005 Å, rel. 100.0; d = 2.866 Å, rel. 59.3; d = 2.074 Å, rel. 47.5; d = 3.982 Å, rel. 41.6; d = 2.125 Å, rel. 38.2; d = 1.433 Å, rel. 20.9; d = 2.834 Å, rel. 20.0; d = 1.344 Å, rel. 19.7; d = 1.706 Å, rel. 18.0; d = 2.358 Å, rel. 17.0

Structure:
Unit cell a=12.1779 b=12.1779 c=12.1779 alpha=151.43 beta=151.43 gamma=40.85
Positions (direct):
Pm  0.0774  0.0774  0.0000
Pm  0.9226  0.9226  0.0000
Nd  0.3553  0.3553  0.0000
Nd  0.5000  0.5000  0.0000
Nd  0.6447  0.6447  0.0000
Tl  0.0715  0.5715  0.5000
Tl  0.2160  0.2160  0.0000
Tl  0.4285  0.9285  0.5000
Tl  0.5715  0.0715  0.5000
Tl  0.7840  0.7840  0.0000
Tl  0.9285  0.4285  0.5000

***

Repeat the first record exactly.
This entry pairs a crystal structure of Pm6NdTl6 with its calculated X-ray powder pattern. Radiation: λ = 1.5418 Å (Cu Kα). Structure: a structure optimized by DFT (PBE).
Neutral-atom scattering factors, no anomalous dispersion.

Main lines, most intense first (2θ from 10° to 90°):
d = 2.506 Å, rel. 100.0; d = 2.798 Å, rel. 59.8; d = 2.820 Å, rel. 56.0; d = 1.628 Å, rel. 30.5; d = 2.732 Å, rel. 29.8; d = 1.399 Å, rel. 23.3; d = 1.590 Å, rel. 22.8; d = 2.459 Å, rel. 21.2; d = 1.366 Å, rel. 19.3; d = 5.464 Å, rel. 18.4

Structure:
Unit cell a=6.5136 b=6.5136 c=10.9285 alpha=90.00 beta=90.00 gamma=120.00
Positions (direct):
Pm  0.0000  0.0000  0.1652
Pm  0.0000  0.0000  0.8348
Pm  0.3333  0.6667  0.0000
Pm  0.3333  0.6667  0.5000
Pm  0.6667  0.3333  0.0000
Pm  0.6667  0.3333  0.5000
Nd  0.0000  0.0000  0.5000
Tl  0.0000  0.5000  0.2539
Tl  0.0000  0.5000  0.7461
Tl  0.5000  0.0000  0.2539
Tl  0.5000  0.0000  0.7461
Tl  0.5000  0.5000  0.2539
Tl  0.5000  0.5000  0.7461